Diffraction record for GaSe. The X-ray powder pattern is calculated, not measured: it uses DFT lattice parameters and positions (GGA-PBE) and λ = 1.5418 Å (Cu Kα).

Structure:
```
data_GaSe
_symmetry_space_group_name_H-M 'R 3 m'
_symmetry_Int_Tables_number 160
_symmetry_space_group_name_Hall 'R 3 -2"'
_cell_length_a 3.8182
_cell_length_b 3.8182
_cell_length_c 26.5806
_cell_angle_alpha 90.00
_cell_angle_beta 90.00
_cell_angle_gamma 120.00
loop_
_atom_site_label
_atom_site_fract_x
_atom_site_fract_y
_atom_site_fract_z
Ga1 0.0000 0.0000 0.0000
Ga2 0.0000 0.0000 0.0930
Se1 0.0000 0.0000 0.2892
Se2 0.0000 0.0000 0.4705
```

The 6 most intense peaks (2θ from 10° to 90°), most intense first:
hkl 0 0 6, 2θ 20.0, d = 4.430 Å, intensity 1000
hkl 1 1 0, 2θ 47.6, d = 1.909 Å, intensity 855
hkl 1 0 1, 2θ 27.2, d = 3.281 Å, intensity 821
hkl 0 1 5, 2θ 31.9, d = 2.808 Å, intensity 742
hkl 1 0 4, 2θ 30.2, d = 2.960 Å, intensity 705
hkl 0 1 11, 2θ 46.5, d = 1.951 Å, intensity 686